Starting from the PBE+U geometry in the Materials Project, the powder XRD pattern of Li4Fe3SbO8 was calculated for copper Kα.
Lines closer than 0.1° are merged.

Largest 10 diffraction maxima, by angle, 10° ≤ 2θ ≤ 80°:
- 18.00 deg, d 4.927, I = 100
- 33.99 deg, d 2.637, I = 17
- 34.29 deg, d 2.615, I = 35
- 35.96 deg, d 2.497, I = 14
- 41.70 deg, d 2.166, I = 25
- 41.85 deg, d 2.159, I = 50
- 45.99 deg, d 1.973, I = 12
- 55.54 deg, d 1.655, I = 10
- 59.93 deg, d 1.543, I = 15
- 61.17 deg, d 1.515, I = 14

Atomic structure:
Cell: 6.0611 6.0611 6.1010 Å, 118.98 118.98 60.56°
Element x y z (fractional)
Li: 0.0000 0.0000 0.0000
Li: 0.0000 0.5000 0.5000
Li: 0.5000 0.0000 0.5000
Li: 0.5000 0.5000 0.0000
Fe: 0.0000 0.0000 0.5000
Fe: 0.0000 0.5000 0.0000
Fe: 0.5000 0.0000 0.0000
Sb: 0.5000 0.5000 0.5000
O: 0.2327 0.2327 0.7496
O: 0.2541 0.7383 0.7273
O: 0.2617 0.7459 0.2727
O: 0.2691 0.2691 0.2717
O: 0.7309 0.7309 0.7283
O: 0.7383 0.2541 0.7273
O: 0.7459 0.2617 0.2727
O: 0.7673 0.7673 0.2504